Starting from a DFT-relaxed cell (GGA-PBE, Alexandria), the powder diffractogram of ZrH2Cl6 was calculated for Cu Kα X-rays.
Intensities are scaled so that the largest is 1000.

Atomic structure:
```
data_ZrH2Cl6
_chemical_formula_sum 'Zr4 H8 Cl24'
_cell_length_a 14.013
_cell_length_b 12.593
_cell_length_c 6.232
_cell_angle_alpha 90.00
_cell_angle_beta 95.00
_cell_angle_gamma 90.00
_symmetry_space_group_name_H-M 'C 1 2/c 1'
_symmetry_Int_Tables_number 15
loop_
_symmetry_equiv_pos_as_xyz
'x,y,z'
'-x,-y,-z'
'-x,y,-z+1/2'
'x,-y,z+1/2'
'x+1/2,y+1/2,z'
'-x+1/2,-y+1/2,-z'
'-x+1/2,y+1/2,-z+1/2'
'x+1/2,-y+1/2,z+1/2'
loop_
_atom_site_label
_atom_site_type_symbol
_atom_site_fract_x
_atom_site_fract_y
_atom_site_fract_z
_atom_site_occupancy
Zr1 Zr 0.000 0.101 0.250 1
H1 H 0.132 0.477 0.474 1
Cl1 Cl 0.100 0.062 0.595 1
Cl2 Cl 0.110 0.220 0.124 1
Cl3 Cl 0.132 0.418 0.645 1
```

Top 10 peaks for 15° ≤ 2θ ≤ 90°, by intensity:
h k l, Position (°2θ), d_spacing, I/Imax
3 3 -1, 31.35, 2.853, 1000
0 2 1, 20.09, 4.421, 644
2 0 2, 32.58, 2.749, 456
3 1 0, 20.35, 4.365, 394
5 3 1, 42.50, 2.127, 304
1 3 -3, 49.00, 1.859, 247
1 3 1, 26.72, 3.336, 239
1 1 1, 17.60, 5.038, 224
2 2 1, 24.50, 3.634, 218
1 1 -1, 16.67, 5.317, 214

***

Starting from a DFT-relaxed cell (GGA-PBE, Alexandria), the powder diffractogram of TbSmGaIr was calculated for Cu Kα X-rays.
Intensities are scaled so that the largest is 1000.

Atomic structure:
```
data_TbSmGaIr
_chemical_formula_sum 'Tb2 Sm2 Ga2 Ir2'
_cell_length_a 4.270
_cell_length_b 4.071
_cell_length_c 10.800
_cell_angle_alpha 90.00
_cell_angle_beta 90.00
_cell_angle_gamma 90.00
_symmetry_space_group_name_H-M 'A m m 2'
_symmetry_Int_Tables_number 38
loop_
_symmetry_equiv_pos_as_xyz
'x,y,z'
'-x,-y,z'
'-x,y,z'
'x,-y,z'
'x,y+1/2,z+1/2'
'-x,-y+1/2,z+1/2'
'-x,y+1/2,z+1/2'
'x,-y+1/2,z+1/2'
loop_
_atom_site_label
_atom_site_type_symbol
_atom_site_fract_x
_atom_site_fract_y
_atom_site_fract_z
_atom_site_occupancy
Tb1 Tb 0.000 0.000 0.000 1
Sm1 Sm 0.500 0.000 0.282 1
Ga1 Ga 0.000 0.000 0.706 1
Ir1 Ir 0.500 0.000 0.565 1
```

Top 10 peaks for 15° ≤ 2θ ≤ 90°, by intensity:
h k l, Position (°2θ), d_spacing, I/Imax
1 1 1, 31.47, 2.843, 1000
1 1 3, 39.51, 2.281, 911
0 0 4, 33.20, 2.698, 583
2 0 4, 54.84, 1.674, 282
2 0 0, 42.34, 2.135, 265
0 2 0, 44.51, 2.036, 230
0 0 2, 16.42, 5.400, 184
2 2 0, 63.11, 1.473, 163
2 1 7, 80.32, 1.195, 161
1 2 4, 60.99, 1.519, 157